Entry 1:
Simulated X-ray diffraction stick pattern of NdNi2Sb2 for Cu Kα, 1.54184 Å, from a GGA-PBE-relaxed structure.
No peak broadening, texture or thermal motion is included.

Structure:
abc: 6.183 6.183 6.183
angles: 138.71 138.71 59.82
Fractional coordinates of all 5 atoms:
1 Nd 0.000 0.000 0.000
2 Ni 0.250 0.750 0.500
3 Ni 0.750 0.250 0.500
4 Sb 0.364 0.364 0.000
5 Sb 0.636 0.636 0.000

Top 8 peaks for 15° ≤ 2θ ≤ 90°, sorted by position:
2θ 28.96, rel. 36
2θ 32.40, rel. 100
2θ 33.53, rel. 45
2θ 41.42, rel. 56
2θ 47.25, rel. 18
2θ 53.54, rel. 48
2θ 59.83, rel. 19
2θ 60.01, rel. 18



Entry 2:
Simulated X-ray diffraction stick pattern of NdSi2Ni9 for Cu Kα, 1.54184 Å, from a GGA-PBE-relaxed structure.
No peak broadening, texture or thermal motion is included.

Structure:
abc: 7.591 7.591 7.591
angles: 99.58 99.58 131.85
Fractional coordinates of all 24 atoms:
1 Nd 0.375 0.625 0.750
2 Nd 0.625 0.375 0.250
3 Si 0.000 0.000 0.000
4 Si 0.000 0.000 0.500
5 Si 0.000 0.500 0.000
6 Si 0.500 0.000 0.500
7 Ni 0.125 0.875 0.250
8 Ni 0.142 0.564 0.329
9 Ni 0.142 0.812 0.578
10 Ni 0.188 0.266 0.329
11 Ni 0.188 0.858 0.922
12 Ni 0.266 0.188 0.829
13 Ni 0.266 0.436 0.078
14 Ni 0.436 0.266 0.578
15 Ni 0.436 0.858 0.171
16 Ni 0.564 0.142 0.829
17 Ni 0.564 0.734 0.422
18 Ni 0.734 0.564 0.922
19 Ni 0.734 0.812 0.171
20 Ni 0.812 0.142 0.078
21 Ni 0.812 0.734 0.671
22 Ni 0.858 0.188 0.422
23 Ni 0.858 0.436 0.671
24 Ni 0.875 0.125 0.750

Top 8 peaks for 15° ≤ 2θ ≤ 90°, sorted by position:
2θ 30.94, rel. 11
2θ 36.08, rel. 14
2θ 41.20, rel. 100
2θ 44.87, rel. 15
2θ 48.73, rel. 24
2θ 51.05, rel. 11
2θ 75.09, rel. 18
2θ 89.43, rel. 11



Entry 3:
Simulated X-ray diffraction stick pattern of NdSiNi for Cu Kα, 1.54184 Å, from a GGA-PBE-relaxed structure.
No peak broadening, texture or thermal motion is included.

Structure:
abc: 7.535 7.535 7.535
angles: 148.42 148.42 45.27
Fractional coordinates of all 6 atoms:
1 Nd 0.000 0.000 0.000
2 Nd 0.750 0.250 0.500
3 Si 0.169 0.669 0.500
4 Si 0.419 0.419 0.000
5 Ni 0.337 0.837 0.500
6 Ni 0.587 0.587 0.000

Top 8 peaks for 15° ≤ 2θ ≤ 90°, sorted by position:
2θ 29.07, rel. 46
2θ 33.48, rel. 100
2θ 39.13, rel. 46
2θ 44.17, rel. 35
2θ 51.08, rel. 20
2θ 53.75, rel. 16
2θ 60.46, rel. 25
2θ 74.42, rel. 19